# 1
This entry pairs a crystal structure of Nd7SmDy4 with its calculated X-ray powder pattern. Radiation: Cu Kα (λ = 1.5418 Å). Structure: a structure optimized by DFT (GGA-PBE).
Kinematic intensities with the Lorentz-polarization factor, no thermal factor.

Structural model:
abc: 6.348 7.319 9.030
angles: 89.97 76.38 90.00
Atoms (fractional coordinates):
Nd1 0.000 0.000 0.000
Nd2 0.222 0.500 0.334
Nd3 0.280 0.751 0.665
Nd4 0.500 0.247 0.999
Nd5 0.500 0.753 0.001
Nd6 0.720 0.249 0.335
Nd7 0.778 0.500 0.666
Sm1 0.000 0.500 0.000
Dy1 0.219 0.000 0.335
Dy2 0.278 0.247 0.667
Dy3 0.722 0.753 0.333
Dy4 0.781 0.000 0.665

Top 6 peaks for 10° ≤ 2θ ≤ 90°, by angle:
d 3.149, 28.34°, intensity 36.1
d 2.925, 30.56°, intensity 50.6
d 2.857, 31.31°, intensity 100.0
d 2.717, 32.97°, intensity 89.1
d 1.831, 49.80°, intensity 39.0
d 1.552, 59.55°, intensity 38.0

***

# 2
This entry pairs a crystal structure of Nd8Sm3Dy with its calculated X-ray powder pattern. Radiation: Cu Kα (λ = 1.5418 Å). Structure: a structure optimized by DFT (GGA-PBE).
Kinematic intensities with the Lorentz-polarization factor, no thermal factor.

Structural model:
abc: 8.818 8.818 8.818
angles: 135.51 99.60 96.88
Atoms (fractional coordinates):
Nd1 0.086 0.249 0.836
Nd2 0.242 0.255 0.499
Nd3 0.244 0.745 0.988
Nd4 0.413 0.249 0.164
Nd5 0.587 0.751 0.836
Nd6 0.756 0.743 0.501
Nd7 0.758 0.257 0.012
Nd8 0.914 0.751 0.164
Sm1 0.245 0.745 0.500
Sm2 0.500 0.500 0.000
Sm3 0.755 0.255 0.500
Dy1 0.000 0.000 0.000

Top 6 peaks for 10° ≤ 2θ ≤ 90°, by angle:
d 2.925, 30.56°, intensity 44.5
d 2.899, 30.84°, intensity 36.8
d 2.875, 31.11°, intensity 100.0
d 2.583, 34.72°, intensity 29.9
d 1.824, 50.01°, intensity 20.2
d 1.437, 64.90°, intensity 20.1

***

# 3
This entry pairs a crystal structure of Nd14SmDy with its calculated X-ray powder pattern. Radiation: Cu Kα (λ = 1.5418 Å). Structure: a structure optimized by DFT (GGA-PBE).
Kinematic intensities with the Lorentz-polarization factor, no thermal factor.

Structural model:
abc: 7.337 7.337 10.376
angles: 90.00 90.00 90.00
Atoms (fractional coordinates):
Nd1 0.000 0.000 0.000
Nd2 0.000 0.500 0.000
Nd3 0.000 0.500 0.500
Nd4 0.249 0.249 0.252
Nd5 0.249 0.249 0.748
Nd6 0.249 0.751 0.252
Nd7 0.249 0.751 0.748
Nd8 0.500 0.000 0.000
Nd9 0.500 0.000 0.500
Nd10 0.500 0.500 0.000
Nd11 0.751 0.249 0.252
Nd12 0.751 0.249 0.748
Nd13 0.751 0.751 0.252
Nd14 0.751 0.751 0.748
Sm1 0.500 0.500 0.500
Dy1 0.000 0.000 0.500

Top 6 peaks for 10° ≤ 2θ ≤ 90°, by angle:
d 2.995, 29.83°, intensity 100.0
d 2.594, 34.58°, intensity 50.7
d 1.834, 49.70°, intensity 36.4
d 1.564, 59.05°, intensity 43.3
d 1.190, 80.73°, intensity 17.6
d 1.160, 83.29°, intensity 16.4

***

# 4
This entry pairs a crystal structure of Nd2Sm4Dy5 with its calculated X-ray powder pattern. Radiation: Cu Kα (λ = 1.5418 Å). Structure: a structure optimized by DFT (GGA-PBE).
Kinematic intensities with the Lorentz-polarization factor, no thermal factor.

Structural model:
abc: 12.162 12.162 8.814
angles: 96.58 96.58 16.45
Atoms (fractional coordinates):
Nd1 0.091 0.091 0.240
Nd2 0.909 0.909 0.760
Sm1 0.046 0.046 0.859
Sm2 0.321 0.321 0.029
Sm3 0.679 0.679 0.971
Sm4 0.954 0.954 0.141
Dy1 0.142 0.142 0.618
Dy2 0.233 0.233 0.328
Dy3 0.500 0.500 0.500
Dy4 0.767 0.767 0.672
Dy5 0.858 0.858 0.382

Top 6 peaks for 10° ≤ 2θ ≤ 90°, by angle:
d 2.952, 30.27°, intensity 87.5
d 2.934, 30.46°, intensity 100.0
d 2.914, 30.68°, intensity 96.4
d 2.790, 32.08°, intensity 82.4
d 2.443, 36.79°, intensity 58.4
d 1.641, 56.04°, intensity 31.3

***

# 5
This entry pairs a crystal structure of Nd4Sm3Dy5 with its calculated X-ray powder pattern. Radiation: Cu Kα (λ = 1.5418 Å). Structure: a structure optimized by DFT (GGA-PBE).
Kinematic intensities with the Lorentz-polarization factor, no thermal factor.

Structural model:
abc: 8.628 8.628 9.401
angles: 114.48 114.48 40.59
Atoms (fractional coordinates):
Nd1 0.084 0.084 0.444
Nd2 0.212 0.212 0.881
Nd3 0.788 0.788 0.119
Nd4 0.916 0.916 0.556
Sm1 0.210 0.210 0.233
Sm2 0.500 0.500 0.000
Sm3 0.790 0.790 0.767
Dy1 0.000 0.000 0.000
Dy2 0.328 0.328 0.613
Dy3 0.428 0.428 0.302
Dy4 0.572 0.572 0.698
Dy5 0.672 0.672 0.387

Top 6 peaks for 10° ≤ 2θ ≤ 90°, by angle:
d 3.067, 29.12°, intensity 32.8
d 2.993, 29.85°, intensity 100.0
d 2.901, 30.82°, intensity 39.8
d 2.834, 31.57°, intensity 54.4
d 2.767, 32.35°, intensity 71.4
d 2.697, 33.22°, intensity 63.6

***

# 6
This entry pairs a crystal structure of NdSmDy6 with its calculated X-ray powder pattern. Radiation: Cu Kα (λ = 1.5418 Å). Structure: a structure optimized by DFT (GGA-PBE).
Kinematic intensities with the Lorentz-polarization factor, no thermal factor.

Structural model:
abc: 5.047 5.047 10.090
angles: 90.00 90.00 90.00
Atoms (fractional coordinates):
Nd1 0.000 0.000 0.000
Sm1 0.000 0.000 0.500
Dy1 0.000 0.500 0.251
Dy2 0.000 0.500 0.749
Dy3 0.500 0.000 0.251
Dy4 0.500 0.000 0.749
Dy5 0.500 0.500 0.000
Dy6 0.500 0.500 0.500

Top 6 peaks for 10° ≤ 2θ ≤ 90°, by angle:
d 2.914, 30.68°, intensity 100.0
d 2.523, 35.58°, intensity 50.6
d 1.784, 51.20°, intensity 36.1
d 1.522, 60.88°, intensity 42.9
d 1.158, 83.50°, intensity 17.8
d 1.128, 86.18°, intensity 16.6

***

# 7
This entry pairs a crystal structure of Nd12Sm5Dy2 with its calculated X-ray powder pattern. Radiation: Cu Kα (λ = 1.5418 Å). Structure: a structure optimized by DFT (GGA-PBE).
Kinematic intensities with the Lorentz-polarization factor, no thermal factor.

Structural model:
abc: 10.405 10.405 8.958
angles: 97.72 97.72 43.71
Atoms (fractional coordinates):
Nd1 0.044 0.044 0.175
Nd2 0.116 0.555 0.737
Nd3 0.135 0.649 0.143
Nd4 0.322 0.322 0.395
Nd5 0.351 0.865 0.857
Nd6 0.445 0.884 0.263
Nd7 0.555 0.116 0.737
Nd8 0.649 0.135 0.143
Nd9 0.678 0.678 0.605
Nd10 0.865 0.351 0.857
Nd11 0.884 0.445 0.263
Nd12 0.956 0.956 0.825
Sm1 0.168 0.168 0.581
Sm2 0.247 0.247 0.002
Sm3 0.500 0.500 0.000
Sm4 0.753 0.753 0.998
Sm5 0.832 0.832 0.419
Dy1 0.258 0.742 0.500
Dy2 0.742 0.258 0.500

Top 6 peaks for 10° ≤ 2θ ≤ 90°, by angle:
d 3.037, 29.41°, intensity 19.6
d 2.946, 30.34°, intensity 41.0
d 2.932, 30.49°, intensity 100.0
d 2.868, 31.18°, intensity 23.1
d 2.718, 32.95°, intensity 62.0
d 1.937, 46.91°, intensity 17.4

***

# 8
This entry pairs a crystal structure of Nd7Sm3Dy with its calculated X-ray powder pattern. Radiation: Cu Kα (λ = 1.5418 Å). Structure: a structure optimized by DFT (GGA-PBE).
Kinematic intensities with the Lorentz-polarization factor, no thermal factor.

Structural model:
abc: 10.348 10.348 12.646
angles: 114.04 114.04 41.16
Atoms (fractional coordinates):
Nd1 0.080 0.586 0.971
Nd2 0.081 0.583 0.470
Nd3 0.225 0.775 0.750
Nd4 0.337 0.343 0.225
Nd5 0.343 0.337 0.725
Nd6 0.414 0.920 0.529
Nd7 0.417 0.919 0.030
Nd8 0.583 0.081 0.970
Nd9 0.586 0.080 0.471
Nd10 0.657 0.663 0.275
Nd11 0.663 0.657 0.775
Nd12 0.775 0.225 0.250
Nd13 0.919 0.417 0.530
Nd14 0.920 0.414 0.029
Sm1 0.167 0.168 0.775
Sm2 0.168 0.167 0.275
Sm3 0.500 0.500 0.000
Sm4 0.500 0.500 0.500
Sm5 0.832 0.833 0.725
Sm6 0.833 0.832 0.225
Dy1 0.000 0.000 0.000
Dy2 0.000 0.000 0.500

Top 6 peaks for 10° ≤ 2θ ≤ 90°, by angle:
d 2.907, 30.75°, intensity 51.6
d 2.842, 31.47°, intensity 100.0
d 2.703, 33.15°, intensity 84.1
d 1.824, 50.01°, intensity 26.0
d 1.697, 54.04°, intensity 22.4
d 1.545, 59.87°, intensity 29.9

***

# 9
This entry pairs a crystal structure of Nd2Sm5Dy6 with its calculated X-ray powder pattern. Radiation: Cu Kα (λ = 1.5418 Å). Structure: a structure optimized by DFT (GGA-PBE).
Kinematic intensities with the Lorentz-polarization factor, no thermal factor.

Structural model:
abc: 11.755 20.513 3.605
angles: 90.00 90.00 90.00
Atoms (fractional coordinates):
Nd1 0.172 0.216 0.000
Nd2 0.328 0.716 0.000
Nd3 0.672 0.284 0.000
Nd4 0.828 0.784 0.000
Sm1 0.000 0.500 0.500
Sm2 0.087 0.778 0.500
Sm3 0.200 0.052 0.500
Sm4 0.300 0.552 0.500
Sm5 0.413 0.278 0.500
Sm6 0.500 0.000 0.500
Sm7 0.587 0.722 0.500
Sm8 0.700 0.448 0.500
Sm9 0.800 0.948 0.500
Sm10 0.913 0.222 0.500
Dy1 0.060 0.922 0.000
Dy2 0.077 0.634 0.000
Dy3 0.180 0.370 0.500
Dy4 0.320 0.870 0.500
Dy5 0.423 0.134 0.000
Dy6 0.440 0.422 0.000
Dy7 0.560 0.578 0.000
Dy8 0.577 0.866 0.000
Dy9 0.680 0.130 0.500
Dy10 0.820 0.630 0.500
Dy11 0.923 0.366 0.000
Dy12 0.940 0.078 0.000

Top 6 peaks for 10° ≤ 2θ ≤ 90°, by angle:
d 2.909, 30.74°, intensity 65.1
d 2.861, 31.27°, intensity 48.4
d 2.843, 31.46°, intensity 67.2
d 2.803, 31.93°, intensity 100.0
d 2.636, 34.01°, intensity 41.2
d 2.473, 36.32°, intensity 31.0

***

# 10
This entry pairs a crystal structure of Nd6Sm3Dy2 with its calculated X-ray powder pattern. Radiation: Cu Kα (λ = 1.5418 Å). Structure: a structure optimized by DFT (GGA-PBE).
Kinematic intensities with the Lorentz-polarization factor, no thermal factor.

Structural model:
abc: 32.735 32.735 32.735
angles: 6.38 6.38 6.38
Atoms (fractional coordinates):
Nd1 0.091 0.091 0.091
Nd2 0.182 0.182 0.182
Nd3 0.364 0.364 0.364
Nd4 0.636 0.636 0.636
Nd5 0.818 0.818 0.818
Nd6 0.909 0.909 0.909
Sm1 0.000 0.000 0.000
Sm2 0.272 0.272 0.272
Sm3 0.728 0.728 0.728
Dy1 0.455 0.455 0.455
Dy2 0.545 0.545 0.545

Top 6 peaks for 10° ≤ 2θ ≤ 90°, by angle:
d 2.972, 30.07°, intensity 100.0
d 2.574, 34.86°, intensity 50.7
d 1.820, 50.13°, intensity 36.2
d 1.552, 59.57°, intensity 43.1
d 1.181, 81.51°, intensity 17.5
d 1.151, 84.10°, intensity 16.3

***

# 11
This entry pairs a crystal structure of Nd5Sm2Dy6 with its calculated X-ray powder pattern. Radiation: Cu Kα (λ = 1.5418 Å). Structure: a structure optimized by DFT (GGA-PBE).
Kinematic intensities with the Lorentz-polarization factor, no thermal factor.

Structural model:
abc: 11.753 20.634 3.617
angles: 90.00 90.00 90.00
Atoms (fractional coordinates):
Nd1 0.000 0.000 0.000
Nd2 0.085 0.275 0.000
Nd3 0.200 0.551 0.000
Nd4 0.300 0.051 0.000
Nd5 0.415 0.775 0.000
Nd6 0.500 0.500 0.000
Nd7 0.585 0.225 0.000
Nd8 0.700 0.949 0.000
Nd9 0.800 0.449 0.000
Nd10 0.915 0.725 0.000
Sm1 0.172 0.713 0.500
Sm2 0.328 0.213 0.500
Sm3 0.672 0.787 0.500
Sm4 0.828 0.287 0.500
Dy1 0.061 0.421 0.500
Dy2 0.079 0.133 0.500
Dy3 0.178 0.866 0.000
Dy4 0.322 0.366 0.000
Dy5 0.421 0.633 0.500
Dy6 0.439 0.921 0.500
Dy7 0.561 0.079 0.500
Dy8 0.579 0.367 0.500
Dy9 0.678 0.634 0.000
Dy10 0.822 0.134 0.000
Dy11 0.921 0.867 0.500
Dy12 0.939 0.579 0.500

Top 6 peaks for 10° ≤ 2θ ≤ 90°, by angle:
d 2.909, 30.74°, intensity 67.5
d 2.872, 31.14°, intensity 52.7
d 2.859, 31.28°, intensity 67.2
d 2.811, 31.83°, intensity 100.0
d 2.645, 33.89°, intensity 40.7
d 2.479, 36.24°, intensity 34.4

***

# 12
This entry pairs a crystal structure of Nd4SmDy10 with its calculated X-ray powder pattern. Radiation: Cu Kα (λ = 1.5418 Å). Structure: a structure optimized by DFT (GGA-PBE).
Kinematic intensities with the Lorentz-polarization factor, no thermal factor.

Structural model:
abc: 9.482 9.482 9.482
angles: 99.64 99.64 131.70
Atoms (fractional coordinates):
Nd1 0.101 0.701 0.801
Nd2 0.299 0.101 0.400
Nd3 0.701 0.899 0.600
Nd4 0.899 0.299 0.199
Sm1 0.500 0.500 0.000
Dy1 0.051 0.350 0.899
Dy2 0.152 0.051 0.701
Dy3 0.250 0.750 0.500
Dy4 0.350 0.451 0.299
Dy5 0.451 0.152 0.101
Dy6 0.549 0.848 0.899
Dy7 0.650 0.549 0.701
Dy8 0.750 0.250 0.500
Dy9 0.848 0.949 0.299
Dy10 0.949 0.650 0.101

Top 6 peaks for 10° ≤ 2θ ≤ 90°, by angle:
d 4.472, 19.85°, intensity 22.7
d 3.873, 22.96°, intensity 17.1
d 2.738, 32.70°, intensity 100.0
d 2.335, 38.55°, intensity 12.5
d 1.935, 46.97°, intensity 12.2
d 1.581, 58.37°, intensity 38.4